1.
Structure and simulated powder diffraction line list of BiBH2 (DFT lattice parameters and positions (PBE); Cu Kα).

Structure:
Cell lengths 7.1370, 7.1370, 7.1370 Å; angles 90.00, 90.00, 90.00 degrees
Space group Fd-3m (No. 227, origin choice 2)
Inequivalent atoms, fractional coordinates:
Bi 0.1250 0.1250 0.1250
B 0.1250 0.1250 0.6250
H 0.0000 0.0000 0.5000

Peak list (6 most intense, 5 to 70 degrees two-theta, most intense first)
(2 2 0), 35.58°, rel. 100
(1 1 1), 21.57°, rel. 94
(3 1 1), 41.99°, rel. 56
(4 2 2), 63.90°, rel. 38
(3 3 1), 56.18°, rel. 24
(5 1 1), 68.29°, rel. 18

---

2.
Structure and simulated powder diffraction line list of BiB4H3O9 (DFT lattice parameters and positions (PBE); Cu Kα).

Structure:
Cell lengths 4.3709, 8.9230, 10.6731 Å; angles 65.79, 81.38, 89.08 degrees
Space group P-1 (No. 2)
Inequivalent atoms, fractional coordinates:
Bi 0.1299 0.3246 0.4587
B 0.0032 0.9114 0.7405
B 0.1254 0.7947 0.9860
B 0.2713 0.6496 0.8400
B 0.4612 0.9332 0.3676
H 0.0287 0.3461 0.7175
H 0.0714 0.9098 0.1134
H 0.4538 0.5388 0.1070
O 0.0036 0.9136 0.8800
O 0.0980 0.4244 0.6193
O 0.1054 0.7516 0.7425
O 0.1277 0.8007 0.1118
O 0.2177 0.0490 0.6366
O 0.2586 0.6592 0.9689
O 0.3069 0.0668 0.2946
O 0.3461 0.7763 0.4517
O 0.4416 0.5323 0.8144

Peak list (6 most intense, 5 to 70 degrees two-theta, most intense first)
(0 0 1), 9.20°, rel. 100
(1 1 -1), 28.31°, rel. 23
(0 2 2), 22.06°, rel. 20
(1 1 1), 22.56°, rel. 19
(1 3 3), 38.01°, rel. 18
(0 0 2), 18.46°, rel. 17

---

3.
Structure and simulated powder diffraction line list of Hf5Bi2B2 (DFT lattice parameters and positions (PBE); Cu Kα).

Structure:
Cell lengths 14.5518, 6.9666, 6.9504 Å; angles 90.00, 90.00, 90.00 degrees
Space group Cmce (No. 64)
Inequivalent atoms, fractional coordinates:
Hf 0.0000 0.0000 0.0000
Hf 0.1042 0.1569 0.3388
Bi 0.2139 0.0000 0.0000
B 0.0000 0.1470 0.6438

Peak list (6 most intense, 5 to 70 degrees two-theta, most intense first)
(5 1 1), 35.85°, rel. 100
(4 0 2), 35.71°, rel. 83
(1 1 3), 41.51°, rel. 79
(1 1 2), 29.37°, rel. 49
(5 3 3), 65.30°, rel. 48
(0 2 1), 28.67°, rel. 46

---

4.
Structure and simulated powder diffraction line list of InBiB2 (DFT lattice parameters and positions (PBE); Cu Kα).

Structure:
Cell lengths 5.5221, 5.5221, 10.7235 Å; angles 90.00, 90.00, 90.00 degrees
Space group I-42d (No. 122)
Inequivalent atoms, fractional coordinates:
In 0.0000 0.0000 0.0000
Bi 0.0000 0.0000 0.5000
B 0.2451 0.2500 0.1250

Peak list (6 most intense, 5 to 70 degrees two-theta, most intense first)
(1 1 2), 28.27°, rel. 100
(2 0 0), 32.43°, rel. 32
(3 1 2), 55.33°, rel. 31
(2 0 4), 47.26°, rel. 27
(0 0 4), 33.42°, rel. 15
(1 1 6), 56.64°, rel. 15